# Pr2Sm7Dy2
Theoretical powder X-ray diffraction pattern, Cu Kα, 1.54184 Å. Input: a cell relaxed with PBE.
Neutral-atom scattering factors, no anomalous dispersion.

Top 10 peaks for 2θ from 10° to 80°, sorted by position:
2θ = 28.03°, intensity 24; 2θ = 30.64°, intensity 25; 2θ = 32.03°, intensity 100; 2θ = 41.99°, intensity 11; 2θ = 42.04°, intensity 5; 2θ = 49.60°, intensity 20; 2θ = 55.35°, intensity 21; 2θ = 59.40°, intensity 11; 2θ = 59.47°, intensity 11; 2θ = 60.27°, intensity 16

Structure:
```
Pr2Sm7Dy2
1.0
8.0364 -3.1823 0.0000
8.0364 3.1823 0.0000
-5.8683 0.0000 14.6834
Pr Sm Dy
4 14 4
Direct
0.0297 0.6975 0.5229
0.3025 0.9703 0.9771
0.6975 0.0297 0.0229
0.9703 0.3025 0.4771
0.1203 0.7860 0.3400
0.1519 0.4842 0.1150
0.2140 0.8797 0.1600
0.2418 0.5734 0.9303
0.3332 0.6668 0.7500
0.4266 0.7582 0.5697
0.4842 0.1519 0.6150
0.5158 0.8482 0.3850
0.5734 0.2418 0.4303
0.6668 0.3332 0.2500
0.7582 0.4266 0.0697
0.7860 0.1203 0.8400
0.8482 0.5158 0.8850
0.8797 0.2140 0.6600
0.0618 0.3927 0.2943
0.3927 0.0618 0.7943
0.6073 0.9382 0.2057
0.9382 0.6073 0.7057
```